Simulated X-ray powder pattern
Compound: Cd2Cu10Sb4S13
Radiation: Cu Kα X-rays
Structure: DFT lattice parameters and positions (GGA-PBE)
No peak broadening, texture or thermal motion is included.

Structural model:
```
data_Cd2Cu10Sb4S13
_chemical_formula_sum 'Cd4 Cu20 Sb8 S26'
_cell_length_a 10.4118
_cell_length_b 10.4118
_cell_length_c 10.9045
_cell_angle_alpha 90.00
_cell_angle_beta 90.00
_cell_angle_gamma 90.00
_symmetry_space_group_name_H-M 'I -4 2 m'
_symmetry_Int_Tables_number 121
_symmetry_space_group_name_Hall 'I -4 2'
loop_
_atom_site_label
_atom_site_type_symbol
_atom_site_fract_x
_atom_site_fract_y
_atom_site_fract_z
_atom_site_occupancy
Cd1 Cd 0.0000 0.0000 0.2367 1
Cu1 Cu 0.0000 0.2221 0.0000 1
Cu2 Cu 0.0000 0.2654 0.5000 1
Cu3 Cu 0.0000 0.5000 0.2500 1
Sb1 Sb 0.2276 0.2276 0.7565 1
S1 S 0.0000 0.0000 0.0000 1
S2 S 0.1087 0.3626 0.1178 1
S3 S 0.1310 0.1310 0.3838 1
```

Top 6 peaks for 2θ = 10–90°, low angle first:
(2 2 2), 2θ 29.27, rel. 1000
(4 0 0), 2θ 34.46, rel. 154
(4 0 4), 2θ 48.35, rel. 352
(4 4 0), 2θ 49.52, rel. 144
(2 2 6), 2θ 56.47, rel. 137
(6 2 2), 2θ 58.57, rel. 181